Computed powder diffractogram of LiMn4P3O12 for copper Kα, from a DFT-relaxed cell (GGA+U, the Materials Project).

The 12 most intense peaks (10° ≤ 2θ ≤ 90°), in order of falling intensity:
hkl	2theta	I (rel.)
2 4 0	31.70	100
3 1 0	26.14	67
1 1 -2	28.29	46
1 1 0	10.67	42
1 3 -2	34.18	29
3 1 -2	30.06	26
1 5 -1	36.29	20
6 4 -2	54.28	19
2 2 -2	30.28	19
3 1 -3	41.70	19
0 2 0	13.26	17
3 5 1	49.40	16

Crystal structure
Unit cell a=11.9009 b=13.3515 c=6.6255 alpha=90.00 beta=117.27 gamma=90.00
Space group Cc (No. 9)
Unique sites:
Li1 0.0000 0.0205 0.0000 x4
Mn1 0.0093 0.4903 0.7858 x4
Mn2 0.0347 0.2703 0.9880 x4
Mn3 0.2334 0.1479 0.8314 x4
Mn4 0.3192 0.3483 0.6083 x4
P1 0.0294 0.3092 0.4764 x4
P2 0.2509 0.1070 0.3381 x4
P3 0.3088 0.3922 0.1053 x4
O1 0.0749 0.2460 0.6932 x4
O2 0.1277 0.3829 0.4606 x4
O3 0.1647 0.4057 0.0401 x4
O4 0.1785 0.0061 0.2932 x4
O5 0.1901 0.1667 0.1102 x4
O6 0.2410 0.1694 0.5234 x4
O7 0.3221 0.3279 0.9263 x4
O8 0.3784 0.4953 0.1379 x4
O9 0.3797 0.3410 0.3456 x4
O10 0.3974 0.0900 0.4115 x4
O11 0.4311 0.1129 0.9840 x4
O12 0.4820 0.2557 0.7601 x4